Diffraction record for Pr2DyTm3. The X-ray powder pattern is calculated, not measured: it uses a cell relaxed with PBE and copper Kα.
Lines closer than 0.1° are merged.

Crystal structure
Cell lengths 11.8241, 11.8241, 10.2034 Å; angles 108.26, 108.26, 16.96 degrees
Sites, in units of the cell vectors:
Pr: 0.0690 0.0690 0.1302
Pr: 0.3105 0.3105 0.6282
Pr: 0.6895 0.6895 0.3718
Pr: 0.9310 0.9310 0.8698
Dy: 0.3101 0.3101 0.9643
Dy: 0.6899 0.6899 0.0357
Tm: 0.0706 0.0706 0.7606
Tm: 0.3057 0.3057 0.2852
Tm: 0.4422 0.4422 0.5548
Tm: 0.5578 0.5578 0.4452
Tm: 0.6943 0.6943 0.7148
Tm: 0.9294 0.9294 0.2394

The 10 most intense peaks (15° ≤ 2θ ≤ 90°), in order of rising 2θ:
28.3 deg, I = 53; 30.5 deg, I = 95; 31.2 deg, I = 97; 32.3 deg, I = 88; 32.6 deg, I = 100; 37.1 deg, I = 48; 37.2 deg, I = 35; 52.3 deg, I = 33; 52.5 deg, I = 27; 62.3 deg, I = 35